Starting from a PBE-relaxed structure, the powder diffractogram of HgPPt5 was calculated for CuKα.
Intensities are scaled so that the largest is 100.

Cell and atoms:
```
7
Lattice="3.983 0.000 0.000 0.000 3.983 0.000 0.000 0.000 7.219" Properties=species:S:1:pos:R:3 pbc="T T T"
Hg 0.000 0.000 0.000
P 1.992 1.992 3.610
Pt 0.000 1.992 2.185
Pt 0.000 1.992 5.034
Pt 1.992 0.000 2.185
Pt 1.992 0.000 5.034
Pt 1.992 1.992 0.000
```

Largest 6 diffraction maxima, sorted by position, 15 to 90 degrees two-theta:
two_theta  Rel. int.  hkl
34.17  56  1 1 1
37.37  30  0 0 3
40.63  100  1 1 2
45.55  49  2 0 0
60.33  31  2 0 3
80.81  28  3 1 2